Entry 1:
Diffraction record for Tb3S3N. The powder diffraction line list is simulated, not measured: it uses a DFT-relaxed cell (PBE, the Materials Project) and a wavelength of 1.5418 Å.
Kinematic intensities with the Lorentz-polarization factor, no thermal factor.

Atomic structure:
Lattice parameters (Å, degrees): 12.012 3.851 12.977 90.00 90.00 90.00
Element x y z (fractional)
Tb1 0.048 0.250 0.142
Tb2 0.065 0.250 0.633
Tb3 0.211 0.250 0.860
Tb4 0.289 0.750 0.360
Tb5 0.435 0.750 0.133
Tb6 0.452 0.750 0.642
Tb7 0.548 0.250 0.358
Tb8 0.565 0.250 0.867
Tb9 0.711 0.250 0.640
Tb10 0.789 0.750 0.140
Tb11 0.935 0.750 0.367
Tb12 0.952 0.750 0.858
S1 0.094 0.250 0.400
S2 0.133 0.750 0.990
S3 0.224 0.750 0.692
S4 0.276 0.250 0.192
S5 0.367 0.250 0.490
S6 0.406 0.750 0.900
S7 0.594 0.250 0.100
S8 0.633 0.750 0.510
S9 0.724 0.750 0.808
S10 0.776 0.250 0.308
S11 0.867 0.250 0.010
S12 0.906 0.750 0.600
N1 0.034 0.250 0.799
N2 0.466 0.750 0.299
N3 0.534 0.250 0.701
N4 0.966 0.750 0.201

Largest 10 diffraction maxima, by angle, 2θ from 15° to 90°:
2θ/deg, I_rel
26.2, 72
27.5, 100
27.9, 55
32.0, 26
35.2, 42
38.0, 20
39.3, 47
47.2, 23
51.4, 18
54.8, 20

---

Entry 2:
Diffraction record for Ti4S3N2. The powder diffraction line list is simulated, not measured: it uses a DFT-relaxed cell (PBE, the Materials Project) and a wavelength of 1.5418 Å.
Kinematic intensities with the Lorentz-polarization factor, no thermal factor.

Atomic structure:
Lattice parameters (Å, degrees): 5.893 5.893 8.522 122.61 122.61 33.47
Element x y z (fractional)
Ti1 0.060 0.060 0.354
Ti2 0.292 0.292 0.152
Ti3 0.708 0.708 0.848
Ti4 0.940 0.940 0.646
S1 0.310 0.310 0.711
S2 0.500 0.500 0.500
S3 0.690 0.690 0.289
N1 0.125 0.125 0.885
N2 0.875 0.875 0.115

Largest 10 diffraction maxima, by angle, 2θ from 15° to 90°:
2θ/deg, I_rel
15.8, 28
21.4, 13
28.3, 27
36.9, 100
39.3, 13
39.8, 25
43.2, 22
54.0, 16
54.5, 15
56.3, 16

---

Entry 3:
Diffraction record for Ti4S8N. The powder diffraction line list is simulated, not measured: it uses a DFT-relaxed cell (PBE, the Materials Project) and a wavelength of 1.5418 Å.
Kinematic intensities with the Lorentz-polarization factor, no thermal factor.

Atomic structure:
Lattice parameters (Å, degrees): 5.889 3.420 14.798 90.00 97.65 90.00
Element x y z (fractional)
Ti1 0.000 0.000 0.000
Ti2 0.138 0.000 0.406
Ti3 0.500 0.500 0.000
Ti4 0.638 0.500 0.406
S1 0.001 0.500 0.503
S2 0.136 0.500 0.903
S3 0.269 0.500 0.309
S4 0.368 0.000 0.097
S5 0.502 0.000 0.503
S6 0.636 0.000 0.903
S7 0.770 0.000 0.309
S8 0.868 0.500 0.097
N1 0.736 0.500 0.704

Largest 10 diffraction maxima, by angle, 2θ from 15° to 90°:
2θ/deg, I_rel
18.1, 18
31.9, 18
34.4, 100
34.6, 50
41.9, 40
42.1, 19
45.0, 32
53.6, 15
53.8, 30
55.4, 38